Entry 1:
# Ac2ZnGaHg6
Theoretical powder XRD pattern, Cu Kα (weighted mean of Kα1 and Kα2). Input: a crystal structure in Alexandria, relaxed with GGA-PBE.

The 6 most intense peaks (15° ≤ 2θ ≤ 90°), in order of rising 2θ:
| two_theta | I (rel.) |
| --- | --- |
| 26.40 | 58 |
| 31.24 | 55 |
| 31.34 | 72 |
| 35.14 | 52 |
| 36.37 | 100 |
| 36.49 | 52 |

Cell and atoms:
Unit cell a=5.8652 b=7.3581 c=7.4227 alpha=87.97 beta=66.80 gamma=67.18
Space group P-1 (No. 2)
Unique sites:
Ac1 0.2407 0.2676 0.2503 x2
Zn1 0.0000 0.0000 0.0000 x1
Ga1 0.5000 0.5000 0.5000 x1
Hg1 0.1867 0.8173 0.3102 x2
Hg2 0.2484 0.5846 0.9175 x2
Hg3 0.3153 0.1770 0.6933 x2

Entry 2:
# Ac2Ga2I
Theoretical powder XRD pattern, Cu Kα (weighted mean of Kα1 and Kα2). Input: a crystal structure in Alexandria, relaxed with GGA-PBE.

The 6 most intense peaks (15° ≤ 2θ ≤ 90°), in order of rising 2θ:
| two_theta | I (rel.) |
| --- | --- |
| 20.76 | 47 |
| 28.56 | 71 |
| 32.99 | 100 |
| 38.48 | 43 |
| 50.86 | 20 |
| 60.06 | 23 |

Cell and atoms:
Unit cell a=8.1875 b=19.3620 c=4.3866 alpha=90.00 beta=90.00 gamma=90.00
Space group Imma (No. 74)
Unique sites:
Ac1 0.2500 0.1042 0.2500 x8
Ga1 0.0000 0.0378 0.7489 x8
I1 0.0000 0.2500 0.1359 x4

Entry 3:
# Ac2In5Ga3
Theoretical powder XRD pattern, Cu Kα (weighted mean of Kα1 and Kα2). Input: a crystal structure in Alexandria, relaxed with GGA-PBE.

The 6 most intense peaks (15° ≤ 2θ ≤ 90°), in order of rising 2θ:
| two_theta | I (rel.) |
| --- | --- |
| 29.46 | 46 |
| 30.58 | 100 |
| 37.81 | 51 |
| 42.77 | 24 |
| 48.64 | 23 |
| 63.83 | 24 |

Cell and atoms:
Unit cell a=4.7592 b=4.7592 c=11.7980 alpha=90.00 beta=90.00 gamma=90.00
Space group P-4m2 (No. 115)
Unique sites:
Ac1 0.0000 0.5000 0.2352 x2
In1 0.0000 0.0000 0.5000 x1
In2 0.0000 0.5000 0.6532 x2
In3 0.5000 0.5000 0.0000 x1
In4 0.5000 0.5000 0.5000 x1
Ga1 0.0000 0.0000 0.0000 x1
Ga2 0.0000 0.5000 0.8815 x2

Entry 4:
# Ac3In9Ga2
Theoretical powder XRD pattern, Cu Kα (weighted mean of Kα1 and Kα2). Input: a crystal structure in Alexandria, relaxed with GGA-PBE.

The 6 most intense peaks (15° ≤ 2θ ≤ 90°), in order of rising 2θ:
| two_theta | I (rel.) |
| --- | --- |
| 26.03 | 22 |
| 30.04 | 48 |
| 30.69 | 100 |
| 30.79 | 23 |
| 35.83 | 38 |
| 38.42 | 21 |

Cell and atoms:
Unit cell a=5.0124 b=11.1000 c=14.0588 alpha=90.00 beta=90.00 gamma=90.00
Space group Immm (No. 71)
Unique sites:
Ac1 0.0000 0.0000 0.0000 x2
Ac2 0.0000 0.0000 0.3186 x4
In1 0.0000 0.2746 0.1392 x8
In2 0.0000 0.3682 0.3429 x8
In3 0.0000 0.5000 0.0000 x2
Ga1 0.0000 0.1994 0.5000 x4

Entry 5:
# AcIn2GaPd
Theoretical powder XRD pattern, Cu Kα (weighted mean of Kα1 and Kα2). Input: a crystal structure in Alexandria, relaxed with GGA-PBE.

The 6 most intense peaks (15° ≤ 2θ ≤ 90°), in order of rising 2θ:
| two_theta | I (rel.) |
| --- | --- |
| 26.73 | 26 |
| 30.37 | 35 |
| 30.69 | 35 |
| 31.21 | 100 |
| 37.63 | 33 |
| 38.69 | 30 |

Cell and atoms:
Unit cell a=4.6543 b=4.7801 c=11.2076 alpha=90.00 beta=90.00 gamma=90.00
Space group Imm2 (No. 44)
Unique sites:
Ac1 0.0000 0.0000 0.0000 x2
In1 0.0000 0.0000 0.5952 x2
In2 0.0000 0.5000 0.2524 x2
Ga1 0.0000 0.5000 0.7574 x2
Pd1 0.0000 0.0000 0.3587 x2

Entry 6:
# Ac2Ga2Ir
Theoretical powder XRD pattern, Cu Kα (weighted mean of Kα1 and Kα2). Input: a crystal structure in Alexandria, relaxed with GGA-PBE.

The 6 most intense peaks (15° ≤ 2θ ≤ 90°), in order of rising 2θ:
| two_theta | I (rel.) |
| --- | --- |
| 29.58 | 35 |
| 30.38 | 74 |
| 31.01 | 100 |
| 36.59 | 33 |
| 38.11 | 35 |
| 43.52 | 41 |

Cell and atoms:
Unit cell a=12.0983 b=4.1585 c=12.1221 alpha=90.00 beta=116.50 gamma=90.00
Space group C2/m (No. 12)
Unique sites:
Ac1 0.0947 0.0000 0.3836 x4
Ac2 0.2176 0.5000 0.1396 x4
Ga1 0.0309 0.0000 0.9119 x4
Ga2 0.1183 0.5000 0.6162 x4
Ir1 0.0672 0.5000 0.8077 x4